(1)
Computed PXRD pattern
Compound: Tm5Ni4Ag
Radiation: λ = 1.5418 Å (Cu Kα)
Structure: a crystal structure in Alexandria, relaxed with PBE
Peak positions follow from Bragg's law for the DFT cell and can differ from measured ones.

Crystal structure
```
data_Tm5Ni4Ag
_chemical_formula_sum 'Tm5 Ni4 Ag1'
_space_group_name_H-M_alt 'P 4/m m m'
_space_group_IT_number 123
_space_group_name_Hall '-P 4 2'
_cell_length_a 3.3568
_cell_length_b 3.3568
_cell_length_c 17.1816
_cell_angle_alpha 90.00
_cell_angle_beta 90.00
_cell_angle_gamma 90.00
loop_
_atom_site_label
_atom_site_type_symbol
_atom_site_fract_x
_atom_site_fract_y
_atom_site_fract_z
Tm1 Tm 0.0000 0.0000 0.0000
Tm2 Tm 0.0000 0.0000 0.1923
Tm3 Tm 0.0000 0.0000 0.3832
Ni1 Ni 0.5000 0.5000 0.0957
Ni2 Ni 0.5000 0.5000 0.2903
Ag1 Ag 0.5000 0.5000 0.5000
```

Largest 12 diffraction maxima, low angle first, 2θ = 10–90°:
Position (°2θ)	I_rel	index
25.93	8	0 0 5
26.55	20	1 0 0
33.89	4	1 0 4
37.45	100	1 0 5
37.91	54	1 1 0
46.50	7	1 1 5
53.32	6	0 0 10
54.69	18	2 0 0
67.27	13	1 1 10
68.17	34	2 1 5
79.90	8	2 0 10
81.02	6	2 2 0

***

(2)
Computed PXRD pattern
Compound: NiAgW2
Radiation: λ = 1.5418 Å (Cu Kα)
Structure: a crystal structure in Alexandria, relaxed with PBE
Peak positions follow from Bragg's law for the DFT cell and can differ from measured ones.

Crystal structure
```
data_NiAgW2
_chemical_formula_sum 'Ni1 Ag1 W2'
_space_group_name_H-M_alt 'P m m 2'
_space_group_IT_number 25
_cell_length_a 2.6828
_cell_length_b 3.9659
_cell_length_c 5.7410
_cell_angle_alpha 90.00
_cell_angle_beta 90.00
_cell_angle_gamma 90.00
loop_
_space_group_symop_operation_xyz
'x,y,z'
'-x,-y,z'
'-x,y,z'
'x,-y,z'
loop_
_atom_site_label
_atom_site_type_symbol
_atom_site_fract_x
_atom_site_fract_y
_atom_site_fract_z
Ni1 Ni 0.0000 0.0000 0.0000
Ag1 Ag 0.5000 0.5000 0.7559
W1 W 0.0000 0.0000 0.4823
W2 W 0.5000 0.5000 0.2295
```

Largest 12 diffraction maxima, low angle first, 2θ = 10–90°:
Position (°2θ)	I_rel	index
15.43	24	0 0 1
27.33	19	0 1 1
38.72	100	0 1 2
40.60	89	1 1 0
45.76	32	0 2 0
46.32	60	1 0 2
64.98	10	0 0 4
67.15	39	1 2 2
79.50	23	1 1 4
79.89	12	0 3 2
81.10	12	1 3 0
83.11	32	2 1 2

***

(3)
Computed PXRD pattern
Compound: Y2Ni2Ag3
Radiation: λ = 1.5418 Å (Cu Kα)
Structure: a crystal structure in Alexandria, relaxed with PBE
Peak positions follow from Bragg's law for the DFT cell and can differ from measured ones.

Crystal structure
```
data_Y2Ni2Ag3
_chemical_formula_sum 'Y4 Ni4 Ag6'
_space_group_name_H-M_alt 'C m m m'
_space_group_IT_number 65
_space_group_name_Hall '-C 2 2'
_cell_length_a 3.8605
_cell_length_b 19.5116
_cell_length_c 3.6051
_cell_angle_alpha 90.00
_cell_angle_beta 90.00
_cell_angle_gamma 90.00
loop_
_atom_site_label
_atom_site_type_symbol
_atom_site_fract_x
_atom_site_fract_y
_atom_site_fract_z
Y1 Y 0.0000 0.1644 0.0000
Ni1 Ni 0.0000 0.2861 0.5000
Ag1 Ag 0.0000 0.0000 0.0000
Ag2 Ag 0.0000 0.4280 0.5000
```

Largest 12 diffraction maxima, low angle first, 2θ = 10–90°:
Position (°2θ)	I_rel	index
32.63	14	1 5 0
34.34	100	1 1 1
37.24	57	0 6 1
39.89	56	1 7 0
41.35	9	1 5 1
44.87	9	0 8 1
47.08	22	2 0 0
50.64	18	0 0 2
61.51	29	2 6 1
66.33	23	1 7 2
71.63	12	2 0 2
72.47	12	1 13 1

***

(4)
Computed PXRD pattern
Compound: Y3Ni2Ag
Radiation: λ = 1.5418 Å (Cu Kα)
Structure: a crystal structure in Alexandria, relaxed with PBE
Peak positions follow from Bragg's law for the DFT cell and can differ from measured ones.

Crystal structure
```
data_Y3Ni2Ag
_chemical_formula_sum 'Y3 Ni2 Ag1'
_space_group_name_H-M_alt 'P 4/m m m'
_space_group_IT_number 123
_space_group_name_Hall '-P 4 2'
_cell_length_a 3.4664
_cell_length_b 3.4664
_cell_length_c 10.5374
_cell_angle_alpha 90.00
_cell_angle_beta 90.00
_cell_angle_gamma 90.00
loop_
_atom_site_label
_atom_site_type_symbol
_atom_site_fract_x
_atom_site_fract_y
_atom_site_fract_z
Y1 Y 0.0000 0.0000 0.0000
Y2 Y 0.0000 0.0000 0.3131
Ni1 Ni 0.5000 0.5000 0.1598
Ag1 Ag 0.5000 0.5000 0.5000
```

Largest 12 diffraction maxima, low angle first, 2θ = 10–90°:
Position (°2θ)	I_rel	index
30.88	5	1 0 2
36.42	100	1 0 3
36.66	52	1 1 0
52.08	7	0 0 6
52.82	17	2 0 0
65.37	14	1 1 6
65.85	33	2 1 3
77.35	9	2 0 6
77.96	5	2 2 0
88.05	5	1 0 9
89.23	7	3 0 3
89.38	8	3 1 0

***

(5)
Computed PXRD pattern
Compound: ZnNiAg
Radiation: λ = 1.5418 Å (Cu Kα)
Structure: a crystal structure in Alexandria, relaxed with PBE
Peak positions follow from Bragg's law for the DFT cell and can differ from measured ones.

Crystal structure
```
data_ZnNiAg
_chemical_formula_sum 'Zn4 Ni4 Ag4'
_space_group_name_H-M_alt 'A m m 2'
_space_group_IT_number 38
_cell_length_a 13.0065
_cell_length_b 2.7747
_cell_length_c 4.7916
_cell_angle_alpha 90.00
_cell_angle_beta 90.00
_cell_angle_gamma 90.00
loop_
_space_group_symop_operation_xyz
'x,y,z'
'-x,-y,z'
'-x,y,z'
'x,-y,z'
'x,y+1/2,z+1/2'
'-x,-y+1/2,z+1/2'
'-x,y+1/2,z+1/2'
'x,-y+1/2,z+1/2'
loop_
_atom_site_label
_atom_site_type_symbol
_atom_site_fract_x
_atom_site_fract_y
_atom_site_fract_z
Zn1 Zn 0.0000 0.0000 0.0000
Zn2 Zn 0.5000 0.0000 0.3301
Ni1 Ni 0.3513 0.0000 0.9959
Ag1 Ag 0.1803 0.0000 0.3328
```

Largest 12 diffraction maxima, low angle first, 2θ = 10–90°:
Position (°2θ)	I_rel	index
20.49	6	3 0 0
34.48	6	5 0 0
37.48	29	0 0 2
40.06	6	2 0 2
41.66	20	6 0 0
43.09	100	3 1 1
57.28	13	6 0 2
67.69	11	0 1 3
69.89	6	8 1 1
77.03	10	9 1 1
82.72	10	6 1 3
83.56	9	3 2 2

***

(6)
Computed PXRD pattern
Compound: Zn4Ni3Ag
Radiation: λ = 1.5418 Å (Cu Kα)
Structure: a crystal structure in Alexandria, relaxed with PBE
Peak positions follow from Bragg's law for the DFT cell and can differ from measured ones.

Crystal structure
```
data_Zn4Ni3Ag
_chemical_formula_sum 'Zn12 Ni9 Ag3'
_space_group_name_H-M_alt 'R -3 m'
_space_group_IT_number 166
_space_group_name_Hall '-R 3 2"'
_cell_length_a 4.1918
_cell_length_b 4.1918
_cell_length_c 20.7478
_cell_angle_alpha 90.00
_cell_angle_beta 90.00
_cell_angle_gamma 120.00
loop_
_atom_site_label
_atom_site_type_symbol
_atom_site_fract_x
_atom_site_fract_y
_atom_site_fract_z
Zn1 Zn 0.0000 0.0000 0.1183
Zn2 Zn 0.0000 0.0000 0.3705
Ni1 Ni 0.0000 0.0000 0.0000
Ni2 Ni 0.0000 0.0000 0.2505
Ag1 Ag 0.0000 0.0000 0.5000
```

Largest 12 diffraction maxima, low angle first, 2θ = 10–90°:
Position (°2θ)	I_rel	index
24.90	2	1 0 1
26.00	3	0 1 2
32.78	4	0 1 5
39.24	3	1 0 7
42.85	98	0 1 8
43.16	100	1 1 0
62.45	30	2 0 8
63.69	2	1 0 13
78.29	13	1 0 16
78.94	29	1 2 8
79.15	15	3 0 0
83.79	2	1 1 15

***

(7)
Computed PXRD pattern
Compound: Zn2Ni2Ag
Radiation: λ = 1.5418 Å (Cu Kα)
Structure: a crystal structure in Alexandria, relaxed with PBE
Peak positions follow from Bragg's law for the DFT cell and can differ from measured ones.

Crystal structure
```
data_Zn2Ni2Ag
_chemical_formula_sum 'Zn4 Ni4 Ag2'
_space_group_name_H-M_alt 'P 4/m b m'
_space_group_IT_number 127
_space_group_name_Hall '-P 4 2ab'
_cell_length_a 7.0470
_cell_length_b 7.0470
_cell_length_c 2.7452
_cell_angle_alpha 90.00
_cell_angle_beta 90.00
_cell_angle_gamma 90.00
loop_
_atom_site_label
_atom_site_type_symbol
_atom_site_fract_x
_atom_site_fract_y
_atom_site_fract_z
Zn1 Zn 0.1377 0.3623 0.0000
Ni1 Ni 0.1572 0.6572 0.5000
Ag1 Ag 0.0000 0.0000 0.0000
```

Largest 12 diffraction maxima, low angle first, 2θ = 10–90°:
Position (°2θ)	I_rel	index
32.62	10	0 0 1
36.05	19	2 2 0
37.40	15	1 1 1
40.48	100	3 1 0
41.71	26	2 0 1
43.73	100	2 1 1
52.92	19	3 1 1
58.58	13	4 2 0
68.34	10	0 0 2
77.29	11	5 1 1
81.48	20	5 2 1
82.55	23	3 1 2

***

(8)
Computed PXRD pattern
Compound: Zn3NiAg2
Radiation: λ = 1.5418 Å (Cu Kα)
Structure: a crystal structure in Alexandria, relaxed with PBE
Peak positions follow from Bragg's law for the DFT cell and can differ from measured ones.

Crystal structure
```
data_Zn3NiAg2
_chemical_formula_sum 'Zn12 Ni4 Ag8'
_space_group_name_H-M_alt 'C m m m'
_space_group_IT_number 65
_space_group_name_Hall '-C 2 2'
_cell_length_a 4.0866
_cell_length_b 12.4721
_cell_length_c 7.0236
_cell_angle_alpha 90.00
_cell_angle_beta 90.00
_cell_angle_gamma 90.00
loop_
_atom_site_label
_atom_site_type_symbol
_atom_site_fract_x
_atom_site_fract_y
_atom_site_fract_z
Zn1 Zn 0.0000 0.0000 0.2370
Zn2 Zn 0.0000 0.3234 0.2199
Ni1 Ni 0.0000 0.1620 0.0000
Ag1 Ag 0.0000 0.1653 0.5000
Ag2 Ag 0.0000 0.5000 0.0000
Ag3 Ag 0.0000 0.5000 0.5000
```

Largest 12 diffraction maxima, low angle first, 2θ = 10–90°:
Position (°2θ)	I_rel	index
25.36	3	0 0 2
33.28	4	1 3 1
40.21	100	1 3 2
43.54	20	0 6 0
44.33	20	2 0 0
52.09	10	0 0 4
63.88	12	2 6 0
70.16	8	0 6 4
70.74	8	2 0 4
77.67	12	1 9 2
78.80	13	3 3 2
86.87	9	2 6 4

***

(9)
Computed PXRD pattern
Compound: Zr3NiAg
Radiation: λ = 1.5418 Å (Cu Kα)
Structure: a crystal structure in Alexandria, relaxed with PBE
Peak positions follow from Bragg's law for the DFT cell and can differ from measured ones.

Crystal structure
```
data_Zr3NiAg
_chemical_formula_sum 'Zr3 Ni1 Ag1'
_space_group_name_H-M_alt 'P m -3 m'
_space_group_IT_number 221
_space_group_name_Hall '-P 4 2 3'
_cell_length_a 4.8570
_cell_length_b 4.8570
_cell_length_c 4.8570
_cell_angle_alpha 90.00
_cell_angle_beta 90.00
_cell_angle_gamma 90.00
loop_
_atom_site_label
_atom_site_type_symbol
_atom_site_fract_x
_atom_site_fract_y
_atom_site_fract_z
Zr1 Zr 0.0000 0.0000 0.5000
Ni1 Ni 0.0000 0.0000 0.0000
Ag1 Ag 0.5000 0.5000 0.5000
```

Largest 12 diffraction maxima, low angle first, 2θ = 10–90°:
Position (°2θ)	I_rel	index
18.27	6	1 0 0
25.94	17	1 1 0
31.91	100	1 1 1
37.02	98	2 0 0
45.76	7	2 1 1
53.35	65	2 2 0
60.26	3	3 1 0
63.53	39	3 1 1
66.71	22	2 2 2
72.87	3	3 2 1
78.82	10	4 0 0
87.56	16	3 3 1

***

(10)
Computed PXRD pattern
Compound: NpAg2O7
Radiation: λ = 1.5418 Å (Cu Kα)
Structure: a crystal structure in Alexandria, relaxed with PBE
Peak positions follow from Bragg's law for the DFT cell and can differ from measured ones.

Crystal structure
```
data_NpAg2O7
_chemical_formula_sum 'Np4 Ag8 O28'
_space_group_name_H-M_alt 'C 1 2/c 1'
_space_group_IT_number 15
_cell_length_a 11.1921
_cell_length_b 7.1589
_cell_length_c 8.5445
_cell_angle_alpha 90.00
_cell_angle_beta 121.05
_cell_angle_gamma 90.00
loop_
_space_group_symop_operation_xyz
'x,y,z'
'-x,-y,-z'
'-x,y,-z+1/2'
'x,-y,z+1/2'
'x+1/2,y+1/2,z'
'-x+1/2,-y+1/2,-z'
'-x+1/2,y+1/2,-z+1/2'
'x+1/2,-y+1/2,z+1/2'
loop_
_atom_site_label
_atom_site_type_symbol
_atom_site_fract_x
_atom_site_fract_y
_atom_site_fract_z
Np1 Np 0.0000 0.1504 0.2500
Ag1 Ag 0.1752 0.3831 0.7995
O1 O 0.0000 0.4305 0.2500
O2 O 0.0161 0.1985 0.5375
O3 O 0.0878 0.1229 0.9398
O4 O 0.1877 0.1416 0.3307
```

Largest 12 diffraction maxima, low angle first, 2θ = 10–90°:
Position (°2θ)	I_rel	index
21.65	26	2 0 -2
22.45	23	1 1 1
24.32	57	0 0 2
27.04	50	3 1 -1
27.74	100	0 2 1
28.77	33	3 1 -2
30.63	31	3 1 0
35.11	28	3 1 -3
38.20	23	3 1 1
40.47	21	2 2 -3
44.96	21	0 2 3
49.06	17	6 0 -2

***

(11)
Computed PXRD pattern
Compound: NpAgO4
Radiation: λ = 1.5418 Å (Cu Kα)
Structure: a crystal structure in Alexandria, relaxed with PBE
Peak positions follow from Bragg's law for the DFT cell and can differ from measured ones.

Crystal structure
```
data_NpAgO4
_chemical_formula_sum 'Np2 Ag2 O8'
_space_group_name_H-M_alt 'P 1 21/c 1'
_space_group_IT_number 14
_cell_length_a 6.0238
_cell_length_b 5.3432
_cell_length_c 6.1100
_cell_angle_alpha 90.00
_cell_angle_beta 108.96
_cell_angle_gamma 90.00
loop_
_space_group_symop_operation_xyz
'x,y,z'
'-x,-y,-z'
'-x,y+1/2,-z+1/2'
'x,-y+1/2,z+1/2'
loop_
_atom_site_label
_atom_site_type_symbol
_atom_site_fract_x
_atom_site_fract_y
_atom_site_fract_z
Np1 Np 0.0000 0.0000 0.0000
Ag1 Ag 0.5000 0.0000 0.5000
O1 O 0.1255 0.2043 0.2904
O2 O 0.2892 0.6640 0.5730
```

Largest 12 diffraction maxima, low angle first, 2θ = 10–90°:
Position (°2θ)	I_rel	index
15.55	20	1 0 0
22.67	16	0 1 1
24.55	100	1 1 -1
30.38	49	1 1 1
30.95	25	0 0 2
31.41	21	2 0 0
46.29	19	0 2 2
46.61	19	2 2 0
47.80	17	1 1 -3
48.43	16	3 1 -1
50.33	18	2 2 -2
57.98	20	1 3 1

***

(12)
Computed PXRD pattern
Compound: NpAg4O5
Radiation: λ = 1.5418 Å (Cu Kα)
Structure: a crystal structure in Alexandria, relaxed with PBE
Peak positions follow from Bragg's law for the DFT cell and can differ from measured ones.

Crystal structure
```
data_NpAg4O5
_chemical_formula_sum 'Np2 Ag8 O10'
_space_group_name_H-M_alt 'I 4/m'
_space_group_IT_number 87
_space_group_name_Hall '-I 4'
_cell_length_a 8.5864
_cell_length_b 8.5864
_cell_length_c 4.1264
_cell_angle_alpha 90.00
_cell_angle_beta 90.00
_cell_angle_gamma 90.00
loop_
_atom_site_label
_atom_site_type_symbol
_atom_site_fract_x
_atom_site_fract_y
_atom_site_fract_z
Np1 Np 0.0000 0.0000 0.0000
Ag1 Ag 0.0979 0.6411 0.5000
O1 O 0.0000 0.0000 0.5000
O2 O 0.1211 0.8000 0.0000
```

Largest 12 diffraction maxima, low angle first, 2θ = 10–90°:
Position (°2θ)	I_rel	index
20.69	30	2 0 0
23.93	29	1 0 1
31.83	100	1 2 1
32.99	60	3 1 0
43.89	57	0 0 2
47.35	10	2 4 0
48.99	21	1 4 1
54.49	15	5 1 0
55.98	26	3 1 2
58.19	22	5 0 1
72.45	13	5 1 2
78.18	18	6 3 1

***

(13)
Computed PXRD pattern
Compound: NpAg2O5
Radiation: λ = 1.5418 Å (Cu Kα)
Structure: a crystal structure in Alexandria, relaxed with PBE
Peak positions follow from Bragg's law for the DFT cell and can differ from measured ones.

Crystal structure
```
data_NpAg2O5
_chemical_formula_sum 'Np4 Ag8 O20'
_space_group_name_H-M_alt 'C m c m'
_space_group_IT_number 63
_space_group_name_Hall '-C 2c 2'
_cell_length_a 4.5149
_cell_length_b 11.0180
_cell_length_c 10.6204
_cell_angle_alpha 90.00
_cell_angle_beta 90.00
_cell_angle_gamma 90.00
loop_
_atom_site_label
_atom_site_type_symbol
_atom_site_fract_x
_atom_site_fract_y
_atom_site_fract_z
Np1 Np 0.0000 0.2059 0.2500
Ag1 Ag 0.0000 0.1386 0.5831
O1 O 0.0000 0.0811 0.1224
O2 O 0.0000 0.2725 0.7500
O3 O 0.0000 0.3313 0.1170
```

Largest 12 diffraction maxima, low angle first, 2θ = 10–90°:
Position (°2θ)	I_rel	index
16.09	78	0 2 0
21.27	64	1 1 0
22.87	48	1 1 1
23.27	38	0 2 2
30.00	69	0 2 3
31.40	52	1 3 0
32.53	31	1 3 1
33.17	100	1 1 3
39.94	37	2 0 0
41.54	26	0 4 3
49.10	20	1 5 2
50.75	31	2 2 3

***

(14)
Computed PXRD pattern
Compound: Np4AgO12
Radiation: λ = 1.5418 Å (Cu Kα)
Structure: a crystal structure in Alexandria, relaxed with PBE
Peak positions follow from Bragg's law for the DFT cell and can differ from measured ones.

Crystal structure
```
data_Np4AgO12
_chemical_formula_sum 'Np8 Ag2 O24'
_space_group_name_H-M_alt 'I m m m'
_space_group_IT_number 71
_space_group_name_Hall '-I 2 2'
_cell_length_a 8.2198
_cell_length_b 8.2231
_cell_length_c 8.2489
_cell_angle_alpha 90.00
_cell_angle_beta 90.00
_cell_angle_gamma 90.00
loop_
_atom_site_label
_atom_site_type_symbol
_atom_site_fract_x
_atom_site_fract_y
_atom_site_fract_z
Np1 Np 0.2500 0.2500 0.2500
Ag1 Ag 0.0000 0.0000 0.0000
O1 O 0.0000 0.2548 0.2834
O2 O 0.2099 0.2104 0.0000
O3 O 0.2482 0.0000 0.2836
```

Largest 12 diffraction maxima, low angle first, 2θ = 10–90°:
Position (°2θ)	I_rel	index
21.59	96	2 0 0
30.72	100	2 0 2
37.87	17	2 2 2
44.06	19	4 0 0
49.48	22	0 4 2
49.58	22	4 0 2
54.61	30	2 4 2
54.67	15	4 2 2
63.95	12	4 0 4
68.39	17	4 4 2
72.73	12	6 0 2
89.05	12	4 6 2